# 1
SmMoW: theoretical powder diffraction line list (Cu Kα X-rays), based on a crystal structure in Alexandria, relaxed with GGA-PBE.

```
data_SmMoW
_space_group_name_H-M_alt 'F d d d'
_space_group_IT_number 70
_cell_length_a 5.0089
_cell_length_b 9.7744
_cell_length_c 21.1419
_cell_angle_alpha 90.00
_cell_angle_beta 90.00
_cell_angle_gamma 90.00
loop_
_space_group_symop_operation_xyz
'x,y,z'
'-x,-y,-z'
'-x+1/4,-y+1/4,z'
'x+1/4,y+1/4,-z'
'x,-y+1/4,-z+1/4'
'-x,y+1/4,z+1/4'
'-x+1/4,y,-z+1/4'
'x+1/4,-y,z+1/4'
'x,y+1/2,z+1/2'
'-x,-y+1/2,-z+1/2'
'-x+1/4,-y+3/4,z+1/2'
'x+1/4,y+3/4,-z+1/2'
'x,-y+3/4,-z+3/4'
'-x,y+3/4,z+3/4'
'-x+1/4,y+1/2,-z+3/4'
'x+1/4,-y+1/2,z+3/4'
'x+1/2,y,z+1/2'
'-x+1/2,-y,-z+1/2'
'-x+3/4,-y+1/4,z+1/2'
'x+3/4,y+1/4,-z+1/2'
'x+1/2,-y+1/4,-z+3/4'
'-x+1/2,y+1/4,z+3/4'
'-x+3/4,y,-z+3/4'
'x+3/4,-y,z+3/4'
'x+1/2,y+1/2,z'
'-x+1/2,-y+1/2,-z'
'-x+3/4,-y+3/4,z'
'x+3/4,y+3/4,-z'
'x+1/2,-y+3/4,-z+1/4'
'-x+1/2,y+3/4,z+1/4'
'-x+3/4,y+1/2,-z+1/4'
'x+3/4,-y+1/2,z+1/4'
loop_
_atom_site_label
_atom_site_type_symbol
_atom_site_fract_x
_atom_site_fract_y
_atom_site_fract_z
_atom_site_occupancy
Sm1 Sm 0.1250 0.2848 0.1250 1
Mo1 Mo 0.1250 0.1250 0.5352 1
W1 W 0.1250 0.1250 0.0005 1
```

Peak list (6 most intense, 2θ = 10–90°, most intense first)
- hkl 2 2 4, 44.1°, I = 100
- hkl 0 4 4, 40.7°, I = 77
- hkl 1 1 7, 35.9°, I = 71
- hkl 1 3 3, 35.2°, I = 69
- hkl 1 1 1, 20.4°, I = 61
- hkl 0 0 8, 33.9°, I = 53

=====

# 2
Ag3HgBr4: theoretical powder diffraction line list (Cu Kα X-rays), based on a crystal structure in Alexandria, relaxed with GGA-PBE.

```
data_Ag3HgBr4
_space_group_name_H-M_alt 'R 3 m'
_space_group_IT_number 160
_space_group_name_Hall 'R 3 -2"'
_cell_length_a 4.5100
_cell_length_b 4.5100
_cell_length_c 45.5213
_cell_angle_alpha 90.00
_cell_angle_beta 90.00
_cell_angle_gamma 120.00
loop_
_atom_site_label
_atom_site_type_symbol
_atom_site_fract_x
_atom_site_fract_y
_atom_site_fract_z
_atom_site_occupancy
Ag1 Ag 0.0000 0.0000 0.0000 1
Ag2 Ag 0.0000 0.0000 0.2542 1
Ag3 Ag 0.0000 0.0000 0.5078 1
Hg1 Hg 0.0000 0.0000 0.7513 1
Br1 Br 0.0000 0.0000 0.1941 1
Br2 Br 0.0000 0.0000 0.4486 1
Br3 Br 0.0000 0.0000 0.6854 1
Br4 Br 0.0000 0.0000 0.9398 1
```

Peak list (6 most intense, 2θ = 10–90°, most intense first)
- hkl 1 0 4, 24.1°, I = 100
- hkl 1 1 0, 40.0°, I = 48
- hkl 1 0 16, 39.2°, I = 44
- hkl 0 0 12, 23.5°, I = 29
- hkl 1 1 12, 46.9°, I = 27
- hkl 0 2 4, 47.2°, I = 16

=====

# 3
La4TbPr10: theoretical powder diffraction line list (Cu Kα X-rays), based on a crystal structure in Alexandria, relaxed with GGA-PBE.

```
data_La4TbPr10
_space_group_name_H-M_alt 'I 4/m m m'
_space_group_IT_number 139
_space_group_name_Hall '-I 4 2'
_cell_length_a 11.7508
_cell_length_b 11.7508
_cell_length_c 8.0671
_cell_angle_alpha 90.00
_cell_angle_beta 90.00
_cell_angle_gamma 90.00
loop_
_atom_site_label
_atom_site_type_symbol
_atom_site_fract_x
_atom_site_fract_y
_atom_site_fract_z
_atom_site_occupancy
La1 La 0.2265 0.2265 0.0000 1
Tb1 Tb 0.0000 0.0000 0.0000 1
Pr1 Pr 0.0000 0.2106 0.2894 1
Pr2 Pr 0.0000 0.5000 0.2500 1
```

Peak list (6 most intense, 2θ = 10–90°, most intense first)
- hkl 4 0 0, 30.4°, I = 100
- hkl 2 2 2, 30.9°, I = 96
- hkl 3 2 1, 29.6°, I = 49
- hkl 3 3 2, 39.5°, I = 47
- hkl 2 0 2, 26.8°, I = 44
- hkl 3 1 2, 32.8°, I = 40

=====

Question: What is the formula in the third record?
Answer: La4TbPr10